Simulated PXRD pattern
Compound: CuSn4Ir
Radiation: λ = 1.5418 Å (Cu Kα)
Structure: DFT lattice parameters and positions (PBE)
Kinematic intensities with the Lorentz-polarization factor, no thermal factor.

The 10 most intense peaks (15° ≤ 2θ ≤ 90°), in order of falling intensity:
2θ (°), I_rel, h k l
39.40, 1000, 2 2 4
23.84, 353, 2 0 2
39.56, 198, 4 0 0
71.31, 144, 4 0 8
71.53, 143, 2 6 4
71.65, 143, 6 2 4
57.12, 137, 4 4 0
46.68, 118, 2 4 2
15.34, 102, 1 1 1
84.73, 95, 4 4 8

Cell and atoms:
```
data_CuSn4Ir
_symmetry_space_group_name_H-M 'F d d d'
_symmetry_Int_Tables_number 70
_cell_length_a 9.112
_cell_length_b 9.132
_cell_length_c 12.987
_cell_angle_alpha 90.00
_cell_angle_beta 90.00
_cell_angle_gamma 90.00
loop_
_symmetry_equiv_pos_as_xyz
'x,y,z'
'-x,-y,-z'
'-x+1/4,-y+1/4,z'
'x+1/4,y+1/4,-z'
'x,-y+1/4,-z+1/4'
'-x,y+1/4,z+1/4'
'-x+1/4,y,-z+1/4'
'x+1/4,-y,z+1/4'
'x,y+1/2,z+1/2'
'-x,-y+1/2,-z+1/2'
'-x+1/4,-y+3/4,z+1/2'
'x+1/4,y+3/4,-z+1/2'
'x,-y+3/4,-z+3/4'
'-x,y+3/4,z+3/4'
'-x+1/4,y+1/2,-z+3/4'
'x+1/4,-y+1/2,z+3/4'
'x+1/2,y,z+1/2'
'-x+1/2,-y,-z+1/2'
'-x+3/4,-y+1/4,z+1/2'
'x+3/4,y+1/4,-z+1/2'
'x+1/2,-y+1/4,-z+3/4'
'-x+1/2,y+1/4,z+3/4'
'-x+3/4,y,-z+3/4'
'x+3/4,-y,z+3/4'
'x+1/2,y+1/2,z'
'-x+1/2,-y+1/2,-z'
'-x+3/4,-y+3/4,z'
'x+3/4,y+3/4,-z'
'x+1/2,-y+3/4,-z+1/4'
'-x+1/2,y+3/4,z+1/4'
'-x+3/4,y+1/2,-z+1/4'
'x+3/4,-y+1/2,z+1/4'
loop_
_atom_site_label
_atom_site_type_symbol
_atom_site_fract_x
_atom_site_fract_y
_atom_site_fract_z
Cu1 Cu 0.125 0.125 0.125
Sn1 Sn 0.125 0.375 0.000
Ir1 Ir 0.125 0.125 0.625
```